BeCd6Au10: calculated powder diffraction line list (copper Kα), based on a structure optimized by DFT (GGA-PBE).
No peak broadening, texture or thermal motion is included.

Cell and atoms:
Unit cell a=8.2383 b=8.2383 c=5.5496 alpha=90.00 beta=90.00 gamma=120.00
Space group P-31m (No. 162)
Inequivalent atoms, fractional coordinates:
Be 0.0000 0.0000 0.0000 (multiplicity 1)
Cd 0.0000 0.3969 0.7611 (multiplicity 6)
Au 0.0000 0.2239 0.2766 (multiplicity 6)
Au 0.3333 0.6667 0.0000 (multiplicity 2)
Au 0.3333 0.6667 0.5000 (multiplicity 2)

The 10 most intense peaks (2θ = 10–80°), most intense first:
h k l  2θ/deg  I/Imax
3 -1 1  37.1  100
1 1 2  39.1  60
2 1 0  33.2  43
3 0 0  37.8  26
1 0 2  34.7  25
3 -1 3  60.7  21
2 2 2  55.6  20
5 0 2  74.8  19
4 1 0  59.4  17
4 -2 1  47.0  15